Record 1
Calculated PXRD pattern
Compound: Ta2MoCl
Radiation: Cu Ka
Structure: the PBE geometry in Alexandria
Neutral-atom scattering factors, no anomalous dispersion.

Structure:
a = 3.2415 Å, b = 4.8691 Å, c = 9.9533 Å
α = 90.00°, β = 90.00°, γ = 90.00°
Space group Cmm2 (No. 35)
Unique sites:
Ta1 0.0000 0.0000 0.0000 [2 per cell]
Ta2 0.0000 0.5000 0.2369 [2 per cell]
Mo1 0.0000 0.0000 0.4446 [2 per cell]
Cl1 0.0000 0.5000 0.8045 [2 per cell]

Peak list (10 most intense, 2θ = 10–90°, in order of falling intensity)
37.93 deg, I 100.0, (1 1 2)
43.22 deg, I 32.0, (1 1 3)
36.92 deg, I 30.3, (0 2 0)
36.10 deg, I 20.5, (0 0 4)
67.19 deg, I 18.6, (1 3 2)
75.61 deg, I 17.1, (1 1 7)
52.59 deg, I 14.1, (0 2 4)
45.57 deg, I 11.1, (0 0 5)
38.05 deg, I 10.3, (0 2 1)
60.03 deg, I 10.1, (0 2 5)

---

Record 2
Calculated PXRD pattern
Compound: Ta2Mo2Cl7
Radiation: Cu Ka
Structure: the PBE geometry in Alexandria
Neutral-atom scattering factors, no anomalous dispersion.

Structure:
a = 4.9956 Å, b = 10.8921 Å, c = 18.4077 Å
α = 90.00°, β = 93.02°, γ = 90.00°
Space group C2/c (No. 15)
Unique sites:
Ta1 0.0048 0.1161 0.0259 [8 per cell]
Mo1 0.1856 0.1607 0.7316 [8 per cell]
Cl1 0.0000 0.4796 0.7500 [4 per cell]
Cl2 0.0045 0.3437 0.5303 [8 per cell]
Cl3 0.0084 0.0657 0.6024 [8 per cell]
Cl4 0.0166 0.2173 0.1518 [8 per cell]

Peak list (10 most intense, 2θ = 10–90°, in order of falling intensity)
19.57 deg, I 100.0, (1 1 0)
19.31 deg, I 98.2, (0 0 4)
21.83 deg, I 80.6, (0 2 3)
38.04 deg, I 59.6, (0 2 7)
21.43 deg, I 53.2, (1 1 -2)
36.84 deg, I 49.4, (2 0 -2)
36.04 deg, I 36.0, (2 0 0)
38.43 deg, I 33.4, (0 4 4)
50.21 deg, I 28.7, (2 4 -2)
22.27 deg, I 28.5, (1 1 2)

---

Record 3
Calculated PXRD pattern
Compound: TaMoCl2
Radiation: Cu Ka
Structure: the PBE geometry in Alexandria
Neutral-atom scattering factors, no anomalous dispersion.

Structure:
a = 3.0443 Å, b = 3.0443 Å, c = 29.9547 Å
α = 90.00°, β = 90.00°, γ = 120.00°
Space group R3m (No. 160, hexagonal axes)
Unique sites:
Ta1 0.0000 0.0000 0.0000 [3 per cell]
Mo1 0.0000 0.0000 0.7497 [3 per cell]
Cl1 0.0000 0.0000 0.2732 [3 per cell]
Cl2 0.0000 0.0000 0.4736 [3 per cell]

Peak list (10 most intense, 2θ = 10–90°, in order of falling intensity)
36.12 deg, I 100.0, (1 0 4)
41.91 deg, I 52.6, (0 1 8)
40.17 deg, I 33.9, (1 0 7)
72.81 deg, I 27.8, (0 2 4)
48.03 deg, I 26.6, (0 1 11)
34.14 deg, I 23.2, (1 0 1)
60.86 deg, I 22.6, (1 1 0)
35.98 deg, I 19.7, (0 0 12)
17.77 deg, I 16.2, (0 0 6)
37.26 deg, I 15.7, (0 1 5)

---

Record 4
Calculated PXRD pattern
Compound: TaMoCl
Radiation: Cu Ka
Structure: the PBE geometry in Alexandria
Neutral-atom scattering factors, no anomalous dispersion.

Structure:
a = 3.2893 Å, b = 5.1095 Å, c = 13.4775 Å
α = 90.00°, β = 90.00°, γ = 90.00°
Space group Fmm2 (No. 42)
Unique sites:
Ta1 0.0000 0.0000 0.0000 [4 per cell]
Mo1 0.0000 0.0000 0.6429 [4 per cell]
Cl1 0.0000 0.0000 0.3451 [4 per cell]

Peak list (10 most intense, 2θ = 10–90°, in order of falling intensity)
38.21 deg, I 100.0, (1 1 3)
13.14 deg, I 84.7, (0 0 2)
35.13 deg, I 33.4, (0 2 0)
47.08 deg, I 25.3, (1 1 5)
54.41 deg, I 20.8, (0 2 6)
65.07 deg, I 20.4, (1 3 3)
33.06 deg, I 18.7, (1 1 1)
40.14 deg, I 18.3, (0 0 6)
37.65 deg, I 14.0, (0 2 2)
81.80 deg, I 12.9, (2 2 6)

---

Record 5
Calculated PXRD pattern
Compound: Te3MoCl16
Radiation: Cu Ka
Structure: the PBE geometry in Alexandria
Neutral-atom scattering factors, no anomalous dispersion.

Structure:
a = 16.6096 Å, b = 13.3874 Å, c = 12.8655 Å
α = 90.00°, β = 90.00°, γ = 90.00°
Space group Cmc2_1 (No. 36)
Unique sites:
Te1 0.0000 0.1467 0.0000 [4 per cell]
Te2 0.1338 0.4027 0.7356 [8 per cell]
Mo1 0.0000 0.3331 0.2486 [4 per cell]
Cl1 0.0000 0.0171 0.1239 [4 per cell]
Cl2 0.0000 0.2039 0.3633 [4 per cell]
Cl3 0.0000 0.3173 0.8503 [4 per cell]
Cl4 0.0000 0.4810 0.1296 [4 per cell]
Cl5 0.1015 0.2597 0.1392 [8 per cell]
Cl6 0.1046 0.4175 0.3474 [8 per cell]
Cl7 0.1078 0.0757 0.9036 [8 per cell]
Cl8 0.1376 0.2572 0.6295 [8 per cell]
Cl9 0.2228 0.3460 0.8650 [8 per cell]
Cl10 0.2339 0.4861 0.6378 [8 per cell]

Peak list (10 most intense, 2θ = 10–90°, in order of falling intensity)
16.19 deg, I 100.0, (1 1 2)
18.66 deg, I 61.8, (3 1 1)
32.87 deg, I 57.2, (4 2 3)
28.86 deg, I 43.5, (4 2 2)
10.65 deg, I 42.0, (2 0 0)
18.37 deg, I 35.9, (2 2 1)
14.92 deg, I 32.1, (0 2 1)
10.92 deg, I 31.9, (1 1 1)
13.77 deg, I 31.2, (0 0 2)
43.56 deg, I 30.4, (8 0 0)

---

Record 6
Calculated PXRD pattern
Compound: Ti2Te2MoCl4
Radiation: Cu Ka
Structure: the PBE geometry in Alexandria
Neutral-atom scattering factors, no anomalous dispersion.

Structure:
a = 3.3891 Å, b = 3.3891 Å, c = 22.3831 Å
α = 90.00°, β = 90.00°, γ = 120.00°
Space group P3m1 (No. 156)
Unique sites:
Ti1 0.0000 0.0000 0.0000 [1 per cell]
Ti2 0.3333 0.6667 0.3098 [1 per cell]
Te1 0.0000 0.0000 0.5796 [1 per cell]
Te2 0.0000 0.0000 0.7472 [1 per cell]
Mo1 0.3333 0.6667 0.6634 [1 per cell]
Cl1 0.0000 0.0000 0.2403 [1 per cell]
Cl2 0.0000 0.0000 0.3793 [1 per cell]
Cl3 0.3333 0.6667 0.0695 [1 per cell]
Cl4 0.3333 0.6667 0.9306 [1 per cell]

Peak list (10 most intense, 2θ = 10–90°, in order of falling intensity)
11.86 deg, I 100.0, (0 0 3)
36.61 deg, I 86.4, (1 0 5)
30.46 deg, I 60.2, (1 0 0)
39.05 deg, I 52.3, (0 1 6)
44.75 deg, I 40.2, (1 0 8)
54.12 deg, I 36.2, (1 1 0)
34.51 deg, I 32.2, (0 1 4)
41.77 deg, I 31.2, (0 1 7)
30.72 deg, I 21.6, (0 1 1)
32.79 deg, I 19.2, (1 0 3)

---

Record 7
Calculated PXRD pattern
Compound: TlMoCl6
Radiation: Cu Ka
Structure: the PBE geometry in Alexandria
Neutral-atom scattering factors, no anomalous dispersion.

Structure:
a = 11.2452 Å, b = 8.2710 Å, c = 10.6788 Å
α = 90.00°, β = 90.36°, γ = 90.00°
Space group C2/c (No. 15)
Unique sites:
Tl1 0.0000 0.0143 0.2500 [4 per cell]
Mo1 0.2500 0.2500 0.0000 [4 per cell]
Cl1 0.0759 0.3409 0.0948 [8 per cell]
Cl2 0.1651 0.2956 0.8017 [8 per cell]
Cl3 0.1731 0.0175 0.4995 [8 per cell]

Peak list (10 most intense, 2θ = 10–90°, in order of falling intensity)
13.29 deg, I 100.0, (1 1 0)
15.68 deg, I 80.8, (1 1 1)
21.32 deg, I 56.5, (1 1 -2)
23.04 deg, I 42.4, (2 0 2)
31.01 deg, I 42.3, (3 1 -2)
26.76 deg, I 41.2, (2 2 0)
36.25 deg, I 39.9, (1 1 4)
22.90 deg, I 33.3, (2 0 -2)
33.47 deg, I 32.5, (1 3 0)
42.32 deg, I 26.5, (4 2 -2)

---

Record 8
Calculated PXRD pattern
Compound: TlMoCl3
Radiation: Cu Ka
Structure: the PBE geometry in Alexandria
Neutral-atom scattering factors, no anomalous dispersion.

Structure:
a = 18.2558 Å, b = 3.2988 Å, c = 9.0738 Å
α = 90.00°, β = 108.18°, γ = 90.00°
Space group C2/m (No. 12)
Unique sites:
Tl1 0.0881 0.0000 0.3705 [4 per cell]
Mo1 0.2079 0.5000 0.8681 [4 per cell]
Cl1 0.0784 0.5000 0.6808 [4 per cell]
Cl2 0.1525 0.0000 0.0114 [4 per cell]
Cl3 0.2403 0.0000 0.6913 [4 per cell]

Peak list (10 most intense, 2θ = 10–90°, in order of falling intensity)
19.88 deg, I 100.0, (4 0 -1)
34.81 deg, I 66.9, (3 1 -2)
16.61 deg, I 59.2, (2 0 1)
30.02 deg, I 43.0, (1 1 1)
40.38 deg, I 41.5, (3 1 2)
40.73 deg, I 28.9, (1 1 -3)
25.78 deg, I 27.1, (2 0 2)
31.34 deg, I 26.4, (3 1 -1)
37.63 deg, I 25.7, (5 1 0)
35.71 deg, I 25.1, (6 0 1)